For La2ErThSe4, DFT lattice parameters and positions (PBE) gives the theoretical X-ray powder pattern in this record (Cu Kα (weighted mean of Kα1 and Kα2)).

The 8 most intense peaks (15 to 90 degrees two-theta), low angle first:
2θ (°)	d (Å)	I_rel
26.0	3.424	11.5
30.0	2.983	100.0
42.5	2.128	12.6
42.7	2.116	25.3
43.0	2.103	24.5
43.3	2.090	12.3
53.5	1.712	13.1
62.2	1.491	12.2

Structure:
```
data_La2ErThSe4
_space_group_name_H-M_alt 'P 1 2/m 1'
_space_group_IT_number 10
_cell_length_a 7.298
_cell_length_b 4.180
_cell_length_c 7.364
_cell_angle_alpha 90.00
_cell_angle_beta 109.03
_cell_angle_gamma 90.00
loop_
_space_group_symop_operation_xyz
'x,y,z'
'-x,-y,-z'
'-x,y,-z'
'x,-y,z'
loop_
_atom_site_label
_atom_site_fract_x
_atom_site_fract_y
_atom_site_fract_z
_atom_site_occupancy
La1 0.000 0.000 0.000 1
La2 0.000 0.500 0.500 1
Er1 0.500 0.000 0.500 1
Th1 0.500 0.500 0.000 1
Se1 0.261 0.000 0.745 1
Se2 0.268 0.500 0.264 1
```


For LaEr4Si4, DFT lattice parameters and positions (PBE) gives the theoretical X-ray powder pattern in this record (Cu Kα (weighted mean of Kα1 and Kα2)).

The 8 most intense peaks (15 to 90 degrees two-theta), low angle first:
2θ (°)	d (Å)	I_rel
26.7	3.338	100.0
30.6	2.926	92.9
31.6	2.831	48.3
33.2	2.701	64.9
34.5	2.598	30.3
38.5	2.336	39.3
43.4	2.083	48.2
52.0	1.757	42.5

Structure:
```
data_LaEr4Si4
_space_group_name_H-M_alt 'P 42/n'
_space_group_IT_number 86
_cell_length_a 9.253
_cell_length_b 9.253
_cell_length_c 5.648
_cell_angle_alpha 90.00
_cell_angle_beta 90.00
_cell_angle_gamma 90.00
loop_
_space_group_symop_operation_xyz
'x,y,z'
'-x,-y,-z'
'-y,x+1/2,z+1/2'
'y,-x+1/2,-z+1/2'
'-x+1/2,-y+1/2,z'
'x+1/2,y+1/2,-z'
'y+1/2,-x,z+1/2'
'-y+1/2,x,-z+1/2'
loop_
_atom_site_label
_atom_site_fract_x
_atom_site_fract_y
_atom_site_fract_z
_atom_site_occupancy
La1 0.250 0.250 0.250 1
Er1 0.106 0.637 0.129 1
Si1 0.052 0.587 0.636 1
```


For LaErSi4, DFT lattice parameters and positions (PBE) gives the theoretical X-ray powder pattern in this record (Cu Kα (weighted mean of Kα1 and Kα2)).

The 8 most intense peaks (15 to 90 degrees two-theta), low angle first:
2θ (°)	d (Å)	I_rel
21.3	4.171	40.2
24.6	3.617	45.9
25.0	3.557	50.3
30.7	2.908	34.8
32.8	2.733	100.0
33.1	2.707	74.5
36.4	2.467	49.0
37.1	2.421	36.5

Structure:
```
data_LaErSi4
_space_group_name_H-M_alt 'P b a m'
_space_group_IT_number 55
_cell_length_a 7.422
_cell_length_b 16.222
_cell_length_c 4.171
_cell_angle_alpha 90.00
_cell_angle_beta 90.00
_cell_angle_gamma 90.00
loop_
_space_group_symop_operation_xyz
'x,y,z'
'-x,-y,-z'
'-x,-y,z'
'x,y,-z'
'x+1/2,-y+1/2,-z'
'-x+1/2,y+1/2,z'
'-x+1/2,y+1/2,-z'
'x+1/2,-y+1/2,z'
loop_
_atom_site_label
_atom_site_fract_x
_atom_site_fract_y
_atom_site_fract_z
_atom_site_occupancy
La1 0.130 0.167 0.000 1
Er1 0.135 0.413 0.000 1
Si1 0.031 0.687 0.500 1
Si2 0.100 0.943 0.500 1
Si3 0.144 0.543 0.500 1
Si4 0.210 0.804 0.500 1
```